No. 1
Diffraction record for LiCd5Hg11. The powder diffractogram is computed, not measured: it uses DFT lattice parameters and positions (GGA-PBE) and Cu Kα, 1.54184 Å.

```
LiCd5Hg11
1.0
5.2815 -6.3387 0.0000
5.2815 6.3387 0.0000
-3.2898 0.0000 6.5747
Li Cd Hg
1 5 11
Direct
0.0000 0.0000 0.0000 Li
0.0740 0.4038 0.6817 Cd
0.4038 0.0740 0.6817 Cd
0.5000 0.5000 0.0000 Cd
0.5962 0.9260 0.3183 Cd
0.9260 0.5962 0.3183 Cd
0.0000 0.0000 0.5000 Hg
0.1651 0.4098 0.1249 Hg
0.1772 0.7873 0.7705 Hg
0.2127 0.8228 0.2295 Hg
0.3653 0.3653 0.5262 Hg
0.4098 0.1651 0.1249 Hg
0.5902 0.8349 0.8751 Hg
0.6347 0.6347 0.4738 Hg
0.7873 0.1772 0.7705 Hg
0.8228 0.2127 0.2295 Hg
0.8349 0.5902 0.8751 Hg
```

The 6 most intense peaks (5° ≤ 2θ ≤ 70°), low angle first:
Position (°2θ), intensity
30.64, 93
33.13, 71
33.38, 80
34.08, 100
36.26, 87
38.79, 60

No. 2
Diffraction record for Li3Mg2Ag5. The powder diffractogram is computed, not measured: it uses DFT lattice parameters and positions (GGA-PBE) and Cu Kα, 1.54184 Å.

```
Li3Mg2Ag5
1.0
-5.2231 6.9134 2.7030
5.2231 -6.9134 2.7030
5.2231 6.9134 -2.7030
Li Mg Ag
6 4 10
Direct
0.1440 0.6192 0.7632 Li
0.2500 0.2500 0.0000 Li
0.3560 0.1192 0.4751 Li
0.6440 0.8808 0.5249 Li
0.7500 0.7500 0.0000 Li
0.8560 0.3808 0.2368 Li
0.1908 0.9044 0.0952 Mg
0.3092 0.4044 0.7136 Mg
0.6908 0.5956 0.2864 Mg
0.8092 0.0956 0.9048 Mg
0.1756 0.1880 0.3636 Ag
0.2500 0.0124 0.7624 Ag
0.2500 0.4876 0.2376 Ag
0.2500 0.7500 0.5000 Ag
0.3244 0.6880 0.0124 Ag
0.6756 0.3120 0.9876 Ag
0.7500 0.2500 0.5000 Ag
0.7500 0.5124 0.7624 Ag
0.7500 0.9876 0.2376 Ag
0.8244 0.8120 0.6364 Ag
```

The 6 most intense peaks (5° ≤ 2θ ≤ 70°), low angle first:
Position (°2θ), intensity
12.80, 62
16.98, 71
21.07, 61
26.40, 53
35.67, 100
39.09, 51

No. 3
Diffraction record for YNi3Sn2. The powder diffractogram is computed, not measured: it uses DFT lattice parameters and positions (GGA-PBE) and Cu Kα, 1.54184 Å.

```
YNi3Sn2
1.0
9.2968 0.0000 0.0000
-4.6484 8.0512 0.0000
0.0000 0.0000 4.2582
Y Ni Sn
3 9 6
Direct
0.0000 0.0000 0.0000 Y
0.3333 0.6667 0.5000 Y
0.6667 0.3333 0.5000 Y
0.0000 0.7056 0.5000 Ni
0.1672 0.3748 0.0000 Ni
0.2076 0.8328 0.0000 Ni
0.2944 0.2944 0.5000 Ni
0.3748 0.1672 0.0000 Ni
0.6252 0.7924 0.0000 Ni
0.7056 0.0000 0.5000 Ni
0.7924 0.6252 0.0000 Ni
0.8328 0.2076 0.0000 Ni
0.0000 0.2563 0.5000 Sn
0.0000 0.5299 0.0000 Sn
0.2563 0.0000 0.5000 Sn
0.4701 0.4701 0.0000 Sn
0.5299 0.0000 0.0000 Sn
0.7437 0.7437 0.5000 Sn
```

The 6 most intense peaks (5° ≤ 2θ ≤ 70°), low angle first:
Position (°2θ), intensity
30.56, 100
36.28, 69
38.74, 47
39.70, 71
42.46, 64
44.41, 71

No. 4
Diffraction record for Ba6H2Au. The powder diffractogram is computed, not measured: it uses DFT lattice parameters and positions (GGA-PBE) and Cu Kα, 1.54184 Å.

```
Ba6H2Au
1.0
7.6128 -2.3099 0.0000
7.6128 2.3099 0.0000
-5.2358 0.0000 11.4713
Ba H Au
6 2 1
Direct
0.0126 0.0126 0.2443 Ba
0.3314 0.3314 0.9028 Ba
0.3329 0.3329 0.4062 Ba
0.6671 0.6671 0.5938 Ba
0.6686 0.6686 0.0972 Ba
0.9874 0.9874 0.7557 Ba
0.1720 0.1720 0.2060 H
0.8280 0.8280 0.7940 H
0.0000 0.0000 0.5000 Au
```

The 6 most intense peaks (5° ≤ 2θ ≤ 70°), low angle first:
Position (°2θ), intensity
23.88, 99
27.31, 100
28.31, 43
39.00, 39
39.74, 71
48.89, 37

No. 5
Diffraction record for Pr4TlAu. The powder diffractogram is computed, not measured: it uses DFT lattice parameters and positions (GGA-PBE) and Cu Kα, 1.54184 Å.

```
Pr4TlAu
1.0
5.6554 0.0000 0.0000
0.0000 7.3020 0.0000
-1.3384 0.0000 9.0302
Pr Tl Au
8 2 2
Direct
0.1677 0.2500 0.0530 Pr
0.2066 0.7500 0.3740 Pr
0.3186 0.5185 0.7304 Pr
0.3186 0.9815 0.7304 Pr
0.6814 0.0185 0.2696 Pr
0.6814 0.4815 0.2696 Pr
0.7934 0.2500 0.6260 Pr
0.8323 0.7500 0.9470 Pr
0.2310 0.2500 0.4171 Tl
0.7690 0.7500 0.5829 Tl
0.3481 0.7500 0.0546 Au
0.6519 0.2500 0.9454 Au
```

The 6 most intense peaks (5° ≤ 2θ ≤ 70°), low angle first:
Position (°2θ), intensity
30.10, 32
31.51, 59
31.63, 100
32.02, 41
34.37, 24
35.89, 34

No. 6
Diffraction record for Ac4FeSn8. The powder diffractogram is computed, not measured: it uses DFT lattice parameters and positions (GGA-PBE) and Cu Kα, 1.54184 Å.

```
Ac4FeSn8
1.0
4.6422 0.0000 0.0000
0.0000 4.7964 0.0000
0.0000 0.0000 17.9485
Ac Fe Sn
4 1 8
Direct
0.0000 0.0000 0.0000 Ac
0.0000 0.5000 0.4996 Ac
0.5000 0.0000 0.2063 Ac
0.5000 0.5000 0.7065 Ac
0.5000 0.0000 0.4071 Fe
0.0000 0.0000 0.3485 Sn
0.0000 0.0000 0.6614 Sn
0.0000 0.5000 0.1577 Sn
0.0000 0.5000 0.8570 Sn
0.5000 0.0000 0.5530 Sn
0.5000 0.0000 0.8490 Sn
0.5000 0.5000 0.0477 Sn
0.5000 0.5000 0.3480 Sn
```

The 6 most intense peaks (5° ≤ 2θ ≤ 70°), low angle first:
Position (°2θ), intensity
29.87, 16
30.69, 100
31.12, 14
37.50, 19
38.80, 17
63.47, 13